Diffraction record for TbErCoCu. The powder X-ray diffraction pattern is theoretical, not measured: it uses a cell relaxed with PBE and copper Kα.
Kinematic intensities with the Lorentz-polarization factor, no thermal factor.

Cell and atoms:
Unit cell a=4.221 b=3.790 c=10.161 alpha=90.00 beta=90.00 gamma=90.00
Sites, in units of the cell vectors:
Tb: 0.000 0.000 0.000
Tb: 0.000 0.500 0.500
Er: 0.500 0.000 0.718
Er: 0.500 0.500 0.218
Co: 0.000 0.000 0.285
Co: 0.000 0.500 0.785
Cu: 0.500 0.000 0.425
Cu: 0.500 0.500 0.925

Top 10 peaks for 2θ from 10° to 90°, low angle first:
Position (°2θ), I_rel, (hkl)
27.47, 39, 1 0 2
32.96, 100, 1 1 1
35.33, 23, 0 0 4
35.55, 44, 0 1 3
41.49, 18, 1 0 4
41.68, 43, 1 1 3
42.85, 27, 2 0 0
48.01, 19, 0 2 0
56.86, 23, 2 1 3
85.08, 19, 2 1 7

=====

Diffraction record for YErCoCu. The powder X-ray diffraction pattern is theoretical, not measured: it uses a cell relaxed with PBE and copper Kα.
Kinematic intensities with the Lorentz-polarization factor, no thermal factor.

Cell and atoms:
Unit cell a=4.065 b=3.879 c=10.362 alpha=90.00 beta=90.00 gamma=90.00
Sites, in units of the cell vectors:
Y: 0.000 0.000 0.000
Y: 0.000 0.500 0.500
Er: 0.500 0.000 0.283
Er: 0.500 0.500 0.783
Co: 0.000 0.000 0.717
Co: 0.000 0.500 0.217
Cu: 0.500 0.000 0.578
Cu: 0.500 0.500 0.078

Top 10 peaks for 2θ from 10° to 90°, low angle first:
Position (°2θ), I_rel, (hkl)
27.90, 27, 1 0 2
33.07, 100, 1 1 1
34.63, 22, 0 0 4
34.78, 46, 0 1 3
41.33, 23, 1 0 4
41.46, 54, 1 1 3
44.58, 25, 2 0 0
46.84, 21, 0 2 0
57.75, 21, 2 1 3
66.65, 14, 2 2 0